Diffraction record for CsHg3Au. The X-ray diffraction stick pattern is theoretical, not measured: it uses DFT lattice parameters and positions (GGA-PBE) and λ = 1.5418 Å (Cu Kα).
Lines closer than 0.1° are merged.

Structure:
Unit cell a=7.6100 b=7.5289 c=6.8776 alpha=90.00 beta=123.14 gamma=90.00
Space group Cm (No. 8)
Unique sites:
Cs  0.0000  0.0000  0.0000
Hg  0.3972  0.0000  0.7956
Hg  0.4960  0.2512  0.4904
Au  0.1479  0.5000  0.2935

Peak list (10 most intense, 2θ from 5° to 70°, sorted by position)
hkl 0 0 1, d 5.759, I = 25
hkl 1 1 -1, d 4.853, I = 23
hkl 2 0 0, d 3.186, I = 26
hkl 2 0 -2, d 3.163, I = 26
hkl 0 2 1, d 3.151, I = 51
hkl 1 1 1, d 3.128, I = 28
hkl 1 1 -2, d 3.111, I = 28
hkl 2 2 -1, d 2.676, I = 100
hkl 0 2 2, d 2.287, I = 45
hkl 4 0 -2, d 1.902, I = 19

=====

Diffraction record for Cs3HgAu4. The X-ray diffraction stick pattern is theoretical, not measured: it uses DFT lattice parameters and positions (GGA-PBE) and λ = 1.5418 Å (Cu Kα).
Lines closer than 0.1° are merged.

Structure:
Unit cell a=5.6098 b=7.2176 c=16.4612 alpha=90.00 beta=90.00 gamma=90.00
Space group Immm (No. 71)
Unique sites:
Cs  0.0000  0.0000  0.0000
Cs  0.0000  0.5000  0.1845
Hg  0.0000  0.0000  0.5000
Au  0.0000  0.3098  0.3961

Peak list (10 most intense, 2θ from 5° to 70°, sorted by position)
hkl 0 0 2, d 8.231, I = 48
hkl 1 0 1, d 5.310, I = 100
hkl 1 1 2, d 3.900, I = 54
hkl 1 1 4, d 3.015, I = 54
hkl 1 2 1, d 2.985, I = 36
hkl 1 0 5, d 2.839, I = 57
hkl 2 0 0, d 2.805, I = 59
hkl 0 2 4, d 2.713, I = 37
hkl 1 2 3, d 2.656, I = 38
hkl 2 2 4, d 1.950, I = 32

=====

Diffraction record for Cs2Hg5Au5. The X-ray diffraction stick pattern is theoretical, not measured: it uses DFT lattice parameters and positions (GGA-PBE) and λ = 1.5418 Å (Cu Kα).
Lines closer than 0.1° are merged.

Structure:
Unit cell a=4.2200 b=6.7308 c=11.9874 alpha=90.00 beta=90.00 gamma=90.00
Space group Pmmm (No. 47)
Unique sites:
Cs  0.0000  0.0000  0.0000
Cs  0.0000  0.5000  0.5000
Hg  0.0000  0.0000  0.3088
Hg  0.0000  0.5000  0.1587
Hg  0.5000  0.0000  0.5000
Au  0.5000  0.2699  0.2547
Au  0.5000  0.5000  0.0000

Peak list (10 most intense, 2θ from 5° to 70°, sorted by position)
hkl 0 0 2, d 5.994, I = 29
hkl 0 1 1, d 5.869, I = 39
hkl 0 2 2, d 2.934, I = 30
hkl 1 1 3, d 2.664, I = 100
hkl 1 2 0, d 2.631, I = 49
hkl 1 0 4, d 2.443, I = 26
hkl 1 2 2, d 2.409, I = 70
hkl 2 0 0, d 2.110, I = 32
hkl 1 3 3, d 1.775, I = 31
hkl 0 2 6, d 1.718, I = 28

=====

Diffraction record for Cs12Hg5Au. The X-ray diffraction stick pattern is theoretical, not measured: it uses DFT lattice parameters and positions (GGA-PBE) and λ = 1.5418 Å (Cu Kα).
Lines closer than 0.1° are merged.

Structure:
Unit cell a=9.4551 b=16.5054 c=17.2120 alpha=90.00 beta=100.24 gamma=90.00
Space group C2/m (No. 12)
Unique sites:
Cs  0.1221  0.0000  0.3758
Cs  0.1232  0.3347  0.3663
Cs  0.1936  0.1557  0.1227
Cs  0.2257  0.5000  0.1213
Hg  0.0000  0.1725  0.5000
Hg  0.0000  0.3325  0.0000
Hg  0.0000  0.5000  0.5000
Au  0.0000  0.0000  0.0000

Peak list (10 most intense, 2θ from 5° to 70°, sorted by position)
hkl 0 0 2, d 8.469, I = 100
hkl 2 0 1, d 4.300, I = 91
hkl 1 3 2, d 3.983, I = 43
hkl 1 3 -3, d 3.802, I = 91
hkl 1 3 3, d 3.477, I = 79
hkl 2 0 -4, d 3.452, I = 38
hkl 1 3 -5, d 2.883, I = 54
hkl 0 6 0, d 2.751, I = 40
hkl 3 3 -1, d 2.735, I = 79
hkl 3 3 7, d 1.678, I = 35

=====

Diffraction record for Cs6HgAu4. The X-ray diffraction stick pattern is theoretical, not measured: it uses DFT lattice parameters and positions (GGA-PBE) and λ = 1.5418 Å (Cu Kα).
Lines closer than 0.1° are merged.

Structure:
Unit cell a=10.4810 b=10.0692 c=11.6784 alpha=90.00 beta=116.65 gamma=90.00
Space group Cm (No. 8)
Unique sites:
Cs  0.0000  0.0000  0.0000
Cs  0.0261  0.5000  0.9995
Cs  0.3293  0.2504  0.6343
Cs  0.4015  0.2494  0.2780
Hg  0.1340  0.0000  0.7426
Au  0.1868  0.5000  0.3558
Au  0.1942  0.0000  0.3564
Au  0.2197  0.2356  0.9134

Peak list (10 most intense, 2θ from 5° to 70°, sorted by position)
hkl 2 0 0, d 4.683, I = 29
hkl 2 2 -1, d 3.629, I = 50
hkl 0 0 3, d 3.479, I = 31
hkl 2 2 0, d 3.429, I = 87
hkl 2 2 -3, d 2.980, I = 100
hkl 2 0 -4, d 2.900, I = 28
hkl 0 2 3, d 2.862, I = 46
hkl 4 0 -2, d 2.620, I = 41
hkl 0 4 0, d 2.515, I = 59
hkl 4 2 1, d 1.933, I = 30

=====

Diffraction record for CsHg12Au4. The X-ray diffraction stick pattern is theoretical, not measured: it uses DFT lattice parameters and positions (GGA-PBE) and λ = 1.5418 Å (Cu Kα).
Lines closer than 0.1° are merged.

Structure:
Unit cell a=10.0362 b=10.0362 c=10.0362 alpha=90.00 beta=90.00 gamma=90.00
Space group Im-3 (No. 204)
Unique sites:
Cs  0.0000  0.0000  0.0000
Hg  0.0000  0.3494  0.1593
Au  0.2500  0.2500  0.2500

Peak list (10 most intense, 2θ from 5° to 70°, sorted by position)
hkl 3 0 1, d 3.174, I = 100
hkl 3 1 2, d 2.682, I = 35
hkl 4 0 2, d 2.244, I = 37
hkl 3 3 2, d 2.140, I = 9
hkl 4 2 2, d 2.049, I = 34
hkl 4 3 1, d 1.968, I = 34
hkl 5 3 0, d 1.721, I = 9
hkl 6 2 0, d 1.587, I = 9
hkl 6 1 3, d 1.480, I = 18
hkl 4 4 4, d 1.449, I = 8

=====

Diffraction record for Cs7HgAu3. The X-ray diffraction stick pattern is theoretical, not measured: it uses DFT lattice parameters and positions (GGA-PBE) and λ = 1.5418 Å (Cu Kα).
Lines closer than 0.1° are merged.

Structure:
Unit cell a=11.6351 b=13.4439 c=8.9844 alpha=90.00 beta=110.50 gamma=90.00
Space group C2/m (No. 12)
Unique sites:
Cs  0.0000  0.0000  0.0000
Cs  0.1499  0.5000  0.2282
Cs  0.1701  0.2913  0.7286
Hg  0.0000  0.0000  0.5000
Au  0.0000  0.2810  0.0000
Au  0.0000  0.5000  0.5000

Peak list (10 most intense, 2θ from 5° to 70°, sorted by position)
hkl 2 0 0, d 5.449, I = 25
hkl 0 2 1, d 5.252, I = 42
hkl 2 0 -2, d 4.096, I = 90
hkl 1 3 1, d 3.536, I = 41
hkl 2 2 1, d 3.425, I = 100
hkl 0 4 0, d 3.361, I = 47
hkl 2 2 -3, d 2.701, I = 35
hkl 4 2 -1, d 2.669, I = 45
hkl 2 4 -2, d 2.598, I = 35
hkl 1 3 -3, d 2.481, I = 27

=====

Diffraction record for Cs2HgAu4. The X-ray diffraction stick pattern is theoretical, not measured: it uses DFT lattice parameters and positions (GGA-PBE) and λ = 1.5418 Å (Cu Kα).
Lines closer than 0.1° are merged.

Structure:
Unit cell a=5.4240 b=5.4240 c=18.2642 alpha=90.00 beta=90.00 gamma=90.00
Space group I4/mmm (No. 139)
Unique sites:
Cs  0.0000  0.0000  0.1438
Hg  0.0000  0.0000  0.5000
Au  0.0000  0.0000  0.3474
Au  0.0000  0.5000  0.0000

Peak list (10 most intense, 2θ from 5° to 70°, sorted by position)
hkl 0 0 2, d 9.132, I = 82
hkl 1 0 1, d 5.200, I = 43
hkl 1 1 0, d 3.835, I = 33
hkl 1 1 2, d 3.536, I = 39
hkl 0 0 6, d 3.044, I = 53
hkl 1 1 4, d 2.937, I = 84
hkl 2 0 0, d 2.712, I = 100
hkl 2 0 6, d 2.024, I = 77
hkl 2 2 0, d 1.918, I = 37
hkl 2 2 6, d 1.622, I = 36